# V2Re2O11
Theoretical X-ray powder pattern, a wavelength of 1.5418 Å. Input: a crystal structure in the Materials Project, relaxed with GGA+U.
Kinematic intensities with the Lorentz-polarization factor, no thermal factor.

Atomic structure:
```
V2Re2O11
1.0
6.364 0.000 0.000
2.956 7.224 0.000
0.332 -0.005 9.994
V Re O
4 4 22
direct
0.000 0.000 0.000
0.180 0.630 0.848
0.593 0.888 0.333
0.796 0.472 0.480
0.098 0.791 0.414
0.379 0.283 0.536
0.381 0.244 0.046
0.619 0.755 0.912
0.019 0.855 0.249
0.078 0.352 0.577
0.157 0.691 0.690
0.182 0.141 0.096
0.238 0.541 0.426
0.285 0.436 0.149
0.298 0.783 0.945
0.320 0.370 0.887
0.355 0.836 0.427
0.455 0.159 0.381
0.473 0.106 0.648
0.500 0.008 0.920
0.571 0.397 0.578
0.577 0.822 0.181
0.656 0.695 0.745
0.674 0.148 0.092
0.712 0.544 0.997
0.808 0.710 0.438
0.841 0.371 0.337
0.910 0.783 0.946
0.917 0.973 0.513
0.953 0.120 0.865
```

Main lines, most intense first (10° ≤ 2θ ≤ 80°):
| h k l | 2theta | I (rel.) |
| --- | --- | --- |
| 0 0 2 | 17.7 | 1000 |
| 0 1 -2 | 21.6 | 990 |
| 2 1 0 | 28.1 | 693 |
| 0 2 0 | 24.7 | 532 |
| 1 0 0 | 15.1 | 385 |
| 1 1 0 | 15.4 | 375 |
| 0 1 4 | 38.1 | 374 |
| 1 2 2 | 29.3 | 280 |
| 0 2 2 | 30.6 | 203 |
| 2 2 2 | 35.6 | 188 |